NaScTiP2SO12: computed powder diffractogram (λ = 1.5418 Å (Cu Kα)), based on a GGA-PBE-relaxed structure.
No peak broadening, texture or thermal motion is included.

```
data_NaScTiP2SO12
_chemical_formula_sum 'Na4 Sc4 Ti4 P8 S4 O48'
_cell_length_a 15.133
_cell_length_b 8.701
_cell_length_c 9.045
_cell_angle_alpha 90.00
_cell_angle_beta 123.28
_cell_angle_gamma 90.00
_symmetry_space_group_name_H-M 'C 1 c 1'
_symmetry_Int_Tables_number 9
loop_
_symmetry_equiv_pos_as_xyz
'x,y,z'
'x,-y,z+1/2'
'x+1/2,y+1/2,z'
'x+1/2,-y+1/2,z+1/2'
loop_
_atom_site_label
_atom_site_fract_x
_atom_site_fract_y
_atom_site_fract_z
Na1 0.000 0.244 0.000
Sc1 0.350 0.258 0.062
Ti1 0.143 0.250 0.444
P1 0.105 0.103 0.754
P2 0.245 0.459 0.252
S1 0.394 0.108 0.751
O1 0.006 0.174 0.732
O2 0.104 0.076 0.276
O3 0.109 0.135 0.586
O4 0.168 0.360 0.275
O5 0.178 0.433 0.586
O6 0.202 0.171 0.917
O7 0.299 0.177 0.591
O8 0.316 0.443 0.916
O9 0.319 0.353 0.233
O10 0.394 0.132 0.912
O11 0.400 0.059 0.231
O12 0.488 0.183 0.768
```

Peak list (8 most intense, 2θ from 10° to 90°, in order of falling intensity)
hkl 0 2 1, 2θ 23.6, rel. 100
hkl 3 1 0, 2θ 23.5, rel. 54
hkl 0 2 0, 2θ 20.4, rel. 34
hkl 3 1 1, 2θ 31.2, rel. 23
hkl 3 1 -3, 2θ 31.5, rel. 22
hkl 0 2 2, 2θ 31.3, rel. 21
hkl 4 2 -1, 2θ 31.6, rel. 19
hkl 2 2 -2, 2θ 28.5, rel. 18